(1)
For Li4TiNi3O8, a crystal structure in the Materials Project, relaxed with PBE+U gives the calculated XRD peak list in this record (Cu Kα X-rays).

Top 10 peaks for 2θ = 15–90°, by angle:
2θ (°), d/Å, intensity
18.3, 4.837, 100
35.7, 2.513, 30
36.3, 2.476, 13
37.5, 2.396, 15
43.1, 2.099, 26
43.3, 2.089, 26
44.1, 2.053, 24
62.5, 1.485, 7
63.0, 1.475, 14
63.7, 1.461, 7

Structural model:
```
32
Lattice="5.8405 0.0000 0.0000 2.8767 5.1500 0.0000 2.7616 1.6508 9.5770" Properties=species:S:1:pos:R:3 pbc="T T T"
Li 0.0000 0.0000 0.0000
Li 2.8191 3.4004 4.7885
Li 4.2552 2.5451 7.2215
Li 4.3076 4.2606 2.3929
Li 2.9202 0.0000 0.0000
Li 5.7394 3.4004 4.7885
Li 7.1711 2.5403 7.1841
Li 7.2236 4.2557 2.3555
Ti 2.9456 1.6500 2.3533
Ti 8.5332 5.1509 7.2237
Ni 1.3808 0.8254 4.7885
Ni 1.4383 2.5750 0.0000
Ni 5.6601 5.1115 7.1776
Ni 4.3010 0.8254 4.7885
Ni 4.3586 2.5750 0.0000
Ni 5.8186 1.6894 2.3993
O 4.1864 4.4374 5.9466
O 2.7973 3.2867 1.2171
O 1.5056 0.8428 1.2997
O 2.8247 1.5260 5.8636
O 5.5787 3.5327 8.4366
O 4.2668 2.5282 3.4913
O 7.1577 5.9158 8.3220
O 5.8681 5.2149 3.6015
O 5.6107 1.5859 5.9755
O 4.3210 0.8850 1.2549
O 7.2119 4.2726 6.0857
O 5.9001 3.2681 1.1403
O 8.6541 5.2748 3.7134
O 9.9731 5.9580 8.2773
O 8.6814 3.5142 8.3599
O 7.2923 2.3634 3.6304
```

=====

(2)
For TlW2Cl6O2, a crystal structure in the Materials Project, relaxed with PBE+U gives the calculated XRD peak list in this record (Cu Kα X-rays).

Top 10 peaks for 2θ = 15–90°, by angle:
2θ (°), d/Å, intensity
24.0, 3.703, 75
24.6, 3.614, 100
26.2, 3.407, 44
27.9, 3.202, 42
30.5, 2.930, 62
30.8, 2.899, 62
32.1, 2.787, 78
46.6, 1.948, 26
49.2, 1.851, 29
58.0, 1.589, 31

Structural model:
```
11
Lattice="6.7241 -1.9343 0.0000 6.7241 1.9343 0.0000 -3.7070 0.0000 10.8665" Properties=species:S:1:pos:R:3 pbc="T T T"
Tl 0.0000 0.0000 0.0000
W 5.4140 0.0000 3.6403
W 4.3273 0.0000 7.2262
Cl 4.2704 0.0000 1.5481
Cl 3.2497 0.0000 4.9689
Cl 2.1660 0.0000 8.3270
Cl 7.5753 0.0000 2.5395
Cl 6.4915 0.0000 5.8975
Cl 5.4709 0.0000 9.3184
O -2.3967 0.0000 7.1538
O 12.1380 0.0000 3.7127
```